Entry 1:
Starting from a DFT-relaxed cell (PBE, Alexandria), the X-ray powder pattern of K2Ag2PtO6 was calculated for Cu Kα.
No peak broadening, texture or thermal motion is included.

Largest 10 diffraction maxima, most intense first, 10° ≤ 2θ ≤ 90°:
| 2θ (°) | intensity | hkl |
| --- | --- | --- |
| 28.83 | 100.0 | 1 1 0 |
| 30.94 | 88.0 | 0 1 5 |
| 19.52 | 48.7 | 0 1 2 |
| 52.42 | 45.4 | 1 2 5 |
| 15.50 | 42.0 | 0 0 3 |
| 32.89 | 32.6 | 1 1 3 |
| 42.80 | 31.5 | 2 0 5 |
| 51.08 | 19.0 | 3 0 0 |
| 59.71 | 17.1 | 2 2 0 |
| 68.78 | 16.2 | 3 1 5 |

Crystal structure
```
data_K2Ag2PtO6
_chemical_formula_sum 'K6 Ag6 Pt3 O18'
_cell_length_a 6.1942
_cell_length_b 6.1942
_cell_length_c 17.1533
_cell_angle_alpha 90.00
_cell_angle_beta 90.00
_cell_angle_gamma 120.00
_space_group_name_H-M_alt 'R -3 m'
_space_group_IT_number 166
_space_group_name_Hall '-R 3 2"'
loop_
_atom_site_label
_atom_site_type_symbol
_atom_site_fract_x
_atom_site_fract_y
_atom_site_fract_z
K1 K 0.0000 0.0000 0.2038
Ag1 Ag 0.0000 0.0000 0.3912
Pt1 Pt 0.0000 0.0000 0.0000
O1 O 0.0460 0.5230 0.7380
```



Entry 2:
Starting from a DFT-relaxed cell (PBE, Alexandria), the X-ray powder pattern of LaSiI3 was calculated for Cu Kα.
No peak broadening, texture or thermal motion is included.

Largest 10 diffraction maxima, most intense first, 10° ≤ 2θ ≤ 90°:
| 2θ (°) | intensity | hkl |
| --- | --- | --- |
| 28.36 | 100.0 | 2 0 0 |
| 14.07 | 95.6 | 1 0 0 |
| 40.55 | 75.3 | 2 2 0 |
| 31.80 | 54.7 | 2 1 0 |
| 24.50 | 48.0 | 1 1 1 |
| 66.44 | 34.5 | 4 2 0 |
| 43.12 | 29.6 | 3 0 0 |
| 50.22 | 26.8 | 2 2 2 |
| 73.76 | 25.5 | 4 2 2 |
| 47.95 | 22.3 | 3 1 1 |

Crystal structure
```
data_LaSiI3
_chemical_formula_sum 'La1 Si1 I3'
_cell_length_a 6.293
_cell_length_b 6.293
_cell_length_c 6.293
_cell_angle_alpha 90.00
_cell_angle_beta 90.00
_cell_angle_gamma 90.00
_space_group_name_H-M_alt 'P m -3 m'
_space_group_IT_number 221
_space_group_name_Hall '-P 4 2 3'
loop_
_atom_site_label
_atom_site_type_symbol
_atom_site_fract_x
_atom_site_fract_y
_atom_site_fract_z
La1 La 0.000 0.000 0.000
Si1 Si 0.500 0.500 0.500
I1 I 0.000 0.000 0.500
```



Entry 3:
Starting from a DFT-relaxed cell (PBE, Alexandria), the X-ray powder pattern of CuSn3Pd5 was calculated for Cu Kα.
No peak broadening, texture or thermal motion is included.

Largest 10 diffraction maxima, most intense first, 10° ≤ 2θ ≤ 90°:
| 2θ (°) | intensity | hkl |
| --- | --- | --- |
| 36.15 | 100.0 | 2 0 4 |
| 37.47 | 70.5 | 2 2 0 |
| 34.84 | 63.6 | 2 1 3 |
| 45.91 | 39.3 | 2 0 6 |
| 66.74 | 36.0 | 4 2 4 |
| 36.97 | 22.4 | 0 0 6 |
| 42.09 | 21.5 | 3 1 0 |
| 49.25 | 20.5 | 3 1 4 |
| 55.60 | 18.3 | 4 0 2 |
| 30.06 | 13.2 | 2 1 1 |

Crystal structure
```
data_CuSn3Pd5
_chemical_formula_sum 'Cu4 Sn12 Pd20'
_cell_length_a 6.789
_cell_length_b 6.789
_cell_length_c 14.590
_cell_angle_alpha 90.00
_cell_angle_beta 90.00
_cell_angle_gamma 90.00
_space_group_name_H-M_alt 'I 4/m c m'
_space_group_IT_number 140
_space_group_name_Hall '-I 4 2c'
loop_
_atom_site_label
_atom_site_type_symbol
_atom_site_fract_x
_atom_site_fract_y
_atom_site_fract_z
Cu1 Cu 0.000 0.500 0.250
Sn1 Sn 0.000 0.000 0.250
Sn2 Sn 0.138 0.362 0.000
Pd1 Pd 0.000 0.000 0.000
Pd2 Pd 0.227 0.273 0.345
```